Computed powder diffraction line list of Pr4YSb5 for copper Kα, from a crystal structure in Alexandria, relaxed with GGA-PBE.

Main lines, by angle (2θ = 10–90°):
2θ = 27.87°, intensity 100
2θ = 39.82°, intensity 76
2θ = 49.30°, intensity 27
2θ = 57.58°, intensity 13
2θ = 65.14°, intensity 23
2θ = 65.21°, intensity 11
2θ = 72.30°, intensity 26
2θ = 85.87°, intensity 8

Structure:
a b c (Å): 16.307 16.307 16.307
angles (deg): 164.03 164.03 22.65
Fractional positions:
Pr  0.099  0.099  0.000
Pr  0.301  0.301  0.000
Pr  0.699  0.699  0.000
Pr  0.901  0.901  0.000
Y  0.500  0.500  0.000
Sb  0.000  0.000  0.000
Sb  0.200  0.200  0.000
Sb  0.402  0.402  0.000
Sb  0.598  0.598  0.000
Sb  0.800  0.800  0.000

---

Computed powder diffraction line list of Pr3YSb3 for copper Kα, from a crystal structure in Alexandria, relaxed with GGA-PBE.

Main lines, by angle (2θ = 10–90°):
2θ = 29.73°, intensity 100
2θ = 35.34°, intensity 64
2θ = 42.54°, intensity 12
2θ = 46.84°, intensity 15
2θ = 48.87°, intensity 22
2θ = 60.01°, intensity 25
2θ = 61.74°, intensity 11
2θ = 63.44°, intensity 14
2θ = 73.19°, intensity 16
2θ = 88.51°, intensity 10

Structure:
a b c (Å): 9.503 9.503 9.503
angles (deg): 90.00 90.00 90.00
Fractional positions:
Pr  0.067  0.433  0.567
Pr  0.177  0.823  0.323
Pr  0.180  0.180  0.180
Pr  0.320  0.820  0.680
Pr  0.323  0.177  0.823
Pr  0.433  0.567  0.067
Pr  0.567  0.067  0.433
Pr  0.677  0.677  0.677
Pr  0.680  0.320  0.820
Pr  0.820  0.680  0.320
Pr  0.823  0.323  0.177
Pr  0.933  0.933  0.933
Y  0.072  0.572  0.928
Y  0.428  0.428  0.428
Y  0.572  0.928  0.072
Y  0.928  0.072  0.572
Sb  0.002  0.256  0.871
Sb  0.129  0.502  0.244
Sb  0.244  0.129  0.502
Sb  0.256  0.871  0.002
Sb  0.371  0.498  0.744
Sb  0.498  0.744  0.371
Sb  0.502  0.244  0.129
Sb  0.629  0.998  0.756
Sb  0.744  0.371  0.498
Sb  0.756  0.629  0.998
Sb  0.871  0.002  0.256
Sb  0.998  0.756  0.629

---

Computed powder diffraction line list of Pr5Zn2Sb for copper Kα, from a crystal structure in Alexandria, relaxed with GGA-PBE.

Main lines, by angle (2θ = 10–90°):
2θ = 25.79°, intensity 14
2θ = 28.62°, intensity 24
2θ = 30.88°, intensity 100
2θ = 31.88°, intensity 12
2θ = 32.85°, intensity 34
2θ = 35.77°, intensity 52
2θ = 35.90°, intensity 12
2θ = 50.81°, intensity 11
2θ = 54.82°, intensity 16
2θ = 66.07°, intensity 13

Structure:
a b c (Å): 9.371 9.371 9.371
angles (deg): 129.88 129.88 73.60
Fractional positions:
Pr  0.000  0.000  0.000
Pr  0.010  0.510  0.819
Pr  0.191  0.010  0.500
Pr  0.309  0.809  0.819
Pr  0.490  0.309  0.500
Pr  0.500  0.500  0.000
Pr  0.510  0.691  0.500
Pr  0.691  0.191  0.181
Pr  0.809  0.990  0.500
Pr  0.990  0.490  0.181
Zn  0.124  0.376  0.500
Zn  0.376  0.876  0.252
Zn  0.624  0.124  0.748
Zn  0.876  0.624  0.500
Sb  0.250  0.250  0.000
Sb  0.750  0.750  0.000

---

Computed powder diffraction line list of Pr2ZnSb4 for copper Kα, from a crystal structure in Alexandria, relaxed with GGA-PBE.

Main lines, by angle (2θ = 10–90°):
2θ = 26.47°, intensity 17
2θ = 26.77°, intensity 22
2θ = 29.87°, intensity 29
2θ = 33.43°, intensity 28
2θ = 33.68°, intensity 100
2θ = 40.75°, intensity 45
2θ = 49.60°, intensity 20
2θ = 59.00°, intensity 15
2θ = 66.07°, intensity 17
2θ = 69.68°, intensity 24

Structure:
a b c (Å): 4.428 4.428 10.101
angles (deg): 90.00 90.00 90.00
Fractional positions:
Pr  0.000  0.500  0.249
Pr  0.500  0.000  0.751
Zn  0.500  0.500  0.000
Sb  0.000  0.000  0.500
Sb  0.000  0.500  0.847
Sb  0.500  0.000  0.153
Sb  0.500  0.500  0.500

---

Computed powder diffraction line list of Pr4ZrSb5 for copper Kα, from a crystal structure in Alexandria, relaxed with GGA-PBE.

Main lines, by angle (2θ = 10–90°):
2θ = 28.16°, intensity 100
2θ = 28.33°, intensity 47
2θ = 40.24°, intensity 38
2θ = 40.37°, intensity 73
2θ = 49.94°, intensity 39
2θ = 58.22°, intensity 13
2θ = 65.90°, intensity 17
2θ = 65.99°, intensity 17
2θ = 66.25°, intensity 15
2θ = 73.23°, intensity 25

Structure:
a b c (Å): 16.069 16.069 16.069
angles (deg): 163.97 163.97 22.75
Fractional positions:
Pr  0.099  0.099  0.000
Pr  0.302  0.302  0.000
Pr  0.698  0.698  0.000
Pr  0.901  0.901  0.000
Zr  0.500  0.500  0.000
Sb  0.000  0.000  0.000
Sb  0.200  0.200  0.000
Sb  0.406  0.406  0.000
Sb  0.594  0.594  0.000
Sb  0.800  0.800  0.000

---

Computed powder diffraction line list of Pr3Sc for copper Kα, from a crystal structure in Alexandria, relaxed with GGA-PBE.

Main lines, by angle (2θ = 10–90°):
2θ = 20.80°, intensity 15
2θ = 28.20°, intensity 24
2θ = 30.91°, intensity 25
2θ = 32.24°, intensity 100
2θ = 42.33°, intensity 16
2θ = 49.92°, intensity 19
2θ = 55.83°, intensity 21
2θ = 59.88°, intensity 22
2θ = 60.68°, intensity 16
2θ = 82.32°, intensity 13

Structure:
a b c (Å): 7.308 7.308 5.785
angles (deg): 90.00 90.00 120.00
Fractional positions:
Pr  0.171  0.342  0.250
Pr  0.171  0.829  0.250
Pr  0.342  0.171  0.750
Pr  0.658  0.829  0.250
Pr  0.829  0.171  0.750
Pr  0.829  0.658  0.750
Sc  0.333  0.667  0.750
Sc  0.667  0.333  0.250

---

Computed powder diffraction line list of PrSc2 for copper Kα, from a crystal structure in Alexandria, relaxed with GGA-PBE.

Main lines, by angle (2θ = 10–90°):
2θ = 15.67°, intensity 15
2θ = 21.77°, intensity 11
2θ = 24.19°, intensity 14
2θ = 32.17°, intensity 100
2θ = 37.13°, intensity 17
2θ = 37.40°, intensity 33
2θ = 53.72°, intensity 22
2θ = 63.83°, intensity 13
2θ = 64.14°, intensity 12
2θ = 64.25°, intensity 12

Structure:
a b c (Å): 6.792 4.843 10.214
angles (deg): 90.00 90.00 90.00
Fractional positions:
Pr  0.131  0.250  0.087
Pr  0.369  0.750  0.587
Pr  0.631  0.250  0.413
Pr  0.869  0.750  0.913
Sc  0.117  0.250  0.746
Sc  0.126  0.250  0.416
Sc  0.374  0.750  0.916
Sc  0.383  0.750  0.246
Sc  0.617  0.250  0.754
Sc  0.626  0.250  0.084
Sc  0.874  0.750  0.584
Sc  0.883  0.750  0.254

---

Computed powder diffraction line list of PrSc4 for copper Kα, from a crystal structure in Alexandria, relaxed with GGA-PBE.

Main lines, by angle (2θ = 10–90°):
2θ = 11.58°, intensity 28
2θ = 17.73°, intensity 25
2θ = 24.25°, intensity 22
2θ = 31.98°, intensity 16
2θ = 32.34°, intensity 40
2θ = 33.87°, intensity 100
2θ = 34.12°, intensity 81
2θ = 47.54°, intensity 30
2θ = 60.59°, intensity 16
2θ = 66.85°, intensity 25

Structure:
a b c (Å): 8.252 8.252 8.252
angles (deg): 156.95 142.58 44.41
Fractional positions:
Pr  0.000  0.000  0.000
Sc  0.215  0.715  0.500
Sc  0.397  0.397  0.000
Sc  0.603  0.603  0.000
Sc  0.785  0.285  0.500

---

What did the first record say?
Computed powder diffraction line list of Pr4YSb5 for copper Kα, from a crystal structure in Alexandria, relaxed with GGA-PBE.

Main lines, by angle (2θ = 10–90°):
2θ = 27.87°, intensity 100
2θ = 39.82°, intensity 76
2θ = 49.30°, intensity 27
2θ = 57.58°, intensity 13
2θ = 65.14°, intensity 23
2θ = 65.21°, intensity 11
2θ = 72.30°, intensity 26
2θ = 85.87°, intensity 8

Structure:
a b c (Å): 16.307 16.307 16.307
angles (deg): 164.03 164.03 22.65
Fractional positions:
Pr  0.099  0.099  0.000
Pr  0.301  0.301  0.000
Pr  0.699  0.699  0.000
Pr  0.901  0.901  0.000
Y  0.500  0.500  0.000
Sb  0.000  0.000  0.000
Sb  0.200  0.200  0.000
Sb  0.402  0.402  0.000
Sb  0.598  0.598  0.000
Sb  0.800  0.800  0.000